The following is a simulated XRD peak list of ScBeAu4. It was derived from DFT lattice parameters and positions (PBE), using Cu Kα (λ = 1.5418 Å).
Neutral-atom scattering factors, no anomalous dispersion.

Cell and atoms:
Unit cell a=7.698 b=7.698 c=7.698 alpha=90.00 beta=90.00 gamma=90.00
Space group F-43m (No. 216)
Inequivalent atoms, fractional coordinates:
Sc  0.000  0.000  0.000 (multiplicity 4)
Be  0.250  0.250  0.250 (multiplicity 4)
Au  0.125  0.125  0.625 (multiplicity 16)

The 10 most intense peaks (2θ from 10° to 90°), low angle first:
- 2θ = 19.98°, rel. 100, (1 1 1)
- 2θ = 38.80°, rel. 84, (3 1 1)
- 2θ = 40.60°, rel. 83, (2 2 2)
- 2θ = 47.23°, rel. 36, (4 0 0)
- 2θ = 51.77°, rel. 26, (3 3 1)
- 2θ = 62.72°, rel. 28, (5 1 1)
- 2θ = 69.02°, rel. 30, (4 4 0)
- 2θ = 72.67°, rel. 20, (5 3 1)
- 2θ = 82.10°, rel. 10, (5 3 3)
- 2θ = 83.26°, rel. 33, (6 2 2)